Entry 1:
This entry pairs a crystal structure of NaCr2SbO8 with its simulated powder X-ray diffraction pattern. Radiation: λ = 1.5418 Å (Cu Kα). Structure: DFT lattice parameters and positions (PBE+U).

The 10 most intense peaks (10 to 90 degrees two-theta), low angle first:
(hkl), 2θ (°), Rel. int.
1 0 0, 18.0, 19.8
0 1 1, 22.2, 100.0
1 1 0, 31.4, 42.2
1 0 2, 31.7, 34.9
2 0 1, 38.8, 9.3
0 2 2, 45.2, 24.6
1 2 1, 50.7, 18.3
2 -1 3, 51.1, 8.0
3 -1 2, 56.1, 12.9
2 2 0, 65.5, 9.0

Cell and atoms:
a b c (Å): 5.6984 5.6984 6.8842
angles (deg): 90.00 90.00 120.00
Space group P-3 (No. 147)
Asymmetric unit:
Na1 0.0000 0.0000 0.0000
Cr1 0.3333 0.6667 0.7871
Sb1 0.0000 0.0000 0.5000
O1 0.1673 0.8273 0.7101
O2 0.3333 0.6667 0.0210



Entry 2:
This entry pairs a crystal structure of NaScCr2O8 with its simulated powder X-ray diffraction pattern. Radiation: λ = 1.5418 Å (Cu Kα). Structure: DFT lattice parameters and positions (PBE+U).

The 10 most intense peaks (10 to 90 degrees two-theta), low angle first:
(hkl), 2θ (°), Rel. int.
1 0 1, 19.3, 15.4
2 0 0, 25.2, 100.0
2 1 1, 31.9, 23.3
1 1 2, 34.7, 47.8
2 0 2, 39.2, 13.5
3 1 2, 50.8, 48.4
4 0 0, 51.7, 16.9
3 3 2, 63.7, 15.9
2 2 4, 73.1, 8.6
4 2 4, 89.7, 8.0

Cell and atoms:
a b c (Å): 7.0748 7.0748 6.0486
angles (deg): 90.00 90.00 90.00
Space group I-4m2 (No. 119)
Asymmetric unit:
Na1 0.0000 0.0000 0.0000
Sc1 0.0000 0.5000 0.7500
Cr1 0.0000 0.0000 0.5000
Cr2 0.0000 0.5000 0.2500
O1 0.0000 0.1939 0.6574
O2 0.0000 0.3209 0.0719



Entry 3:
This entry pairs a crystal structure of NaTaCr2O8 with its simulated powder X-ray diffraction pattern. Radiation: λ = 1.5418 Å (Cu Kα). Structure: DFT lattice parameters and positions (PBE+U).

The 10 most intense peaks (10 to 90 degrees two-theta), low angle first:
(hkl), 2θ (°), Rel. int.
1 1 0, 18.4, 61.1
1 0 1, 19.3, 62.8
2 0 0, 26.1, 100.0
2 1 1, 32.7, 23.9
1 1 2, 34.4, 75.6
2 0 2, 39.3, 20.0
3 1 2, 51.6, 58.7
4 0 0, 53.6, 27.5
4 2 0, 60.6, 16.4
3 3 2, 65.3, 16.5

Cell and atoms:
a b c (Å): 6.8318 6.8318 6.1916
angles (deg): 90.00 90.00 90.00
Space group I-4m2 (No. 119)
Asymmetric unit:
Na1 0.0000 0.0000 0.0000
Ta1 0.0000 0.5000 0.2500
Cr1 0.0000 0.0000 0.5000
Cr2 0.0000 0.5000 0.7500
O1 0.0000 0.2193 0.3365
O2 0.0000 0.3170 0.9264



Entry 4:
This entry pairs a crystal structure of Na4UCr3O14 with its simulated powder X-ray diffraction pattern. Radiation: λ = 1.5418 Å (Cu Kα). Structure: DFT lattice parameters and positions (PBE+U).

The 10 most intense peaks (10 to 90 degrees two-theta), low angle first:
(hkl), 2θ (°), Rel. int.
0 1 0, 11.0, 60.4
1 0 1, 14.2, 65.7
1 1 1, 14.4, 100.0
0 0 2, 15.6, 31.2
1 0 2, 18.8, 36.3
0 2 1, 22.7, 54.0
2 1 0, 24.9, 40.0
2 1 2, 26.6, 34.0
1 0 -3, 28.7, 53.9
1 -2 1, 30.6, 32.9

Cell and atoms:
a b c (Å): 7.3200 8.6817 11.6814
angles (deg): 80.59 78.69 68.76
Space group P-1 (No. 2)
Asymmetric unit:
Na1 0.0377 0.4116 0.1769
Na2 0.2252 0.9595 0.7135
Na3 0.2561 0.7219 0.0192
Na4 0.3472 0.3401 0.5475
U1 0.3159 0.8884 0.2646
Cr1 0.0243 0.7649 0.5423
Cr2 0.2523 0.1595 0.9757
Cr3 0.4828 0.5710 0.7611
O1 0.0500 0.1004 0.3528
O2 0.0628 0.5758 0.6085
O3 0.0674 0.3303 0.9462
O4 0.1274 0.8387 0.2104
O5 0.1451 0.1860 0.5429
O6 0.2269 0.0036 0.9262
O7 0.2368 0.7768 0.4604
O8 0.2466 0.1285 0.1233
O9 0.2549 0.6621 0.8288
O10 0.3573 0.4691 0.1466
O11 0.4702 0.1841 0.9110
O12 0.4722 0.2990 0.3504
O13 0.4900 0.0703 0.6801
O14 0.4984 0.3916 0.7095



Entry 5:
This entry pairs a crystal structure of NaCr2WO8 with its simulated powder X-ray diffraction pattern. Radiation: λ = 1.5418 Å (Cu Kα). Structure: DFT lattice parameters and positions (PBE+U).

The 10 most intense peaks (10 to 90 degrees two-theta), low angle first:
(hkl), 2θ (°), Rel. int.
1 1 0, 18.1, 57.5
1 0 1, 19.5, 63.1
2 0 0, 25.7, 100.0
2 1 1, 32.5, 23.1
1 1 2, 35.0, 62.5
2 2 0, 36.6, 16.6
3 1 2, 51.6, 56.4
4 0 0, 52.8, 16.7
3 3 2, 64.9, 21.4
2 0 4, 68.0, 17.8

Cell and atoms:
a b c (Å): 6.9355 6.9355 6.0131
angles (deg): 90.00 90.00 90.00
Space group I-4m2 (No. 119)
Asymmetric unit:
Na1 0.0000 0.0000 0.0000
Cr1 0.0000 0.0000 0.5000
Cr2 0.0000 0.5000 0.2500
W1 0.0000 0.5000 0.7500
O1 0.0000 0.2058 0.6642
O2 0.0000 0.3239 0.0480



Entry 6:
This entry pairs a crystal structure of NaCrW2O8 with its simulated powder X-ray diffraction pattern. Radiation: λ = 1.5418 Å (Cu Kα). Structure: DFT lattice parameters and positions (PBE+U).

The 10 most intense peaks (10 to 90 degrees two-theta), low angle first:
(hkl), 2θ (°), Rel. int.
2 0 0, 17.8, 99.7
0 1 1, 23.3, 86.8
2 1 0, 23.5, 58.2
2 1 -1, 29.3, 97.7
2 1 1, 29.6, 100.0
0 0 2, 35.3, 29.9
0 2 1, 35.6, 42.8
2 2 1, 40.2, 29.8
2 3 0, 50.6, 27.5
4 0 2, 51.7, 39.1

Cell and atoms:
a b c (Å): 9.9741 5.8039 5.0843
angles (deg): 90.00 90.82 90.00
Space group P2/c (No. 13)
Asymmetric unit:
Na1 0.0000 0.1861 0.2500
Cr1 0.5000 0.1479 0.2500
W1 0.2660 0.3254 0.7372
O1 0.1467 0.1241 0.6200
O2 0.1718 0.4082 0.0508
O3 0.3765 0.3760 0.4207
O4 0.3931 0.1209 0.9090



Entry 7:
This entry pairs a crystal structure of Na2CrWO6 with its simulated powder X-ray diffraction pattern. Radiation: λ = 1.5418 Å (Cu Kα). Structure: DFT lattice parameters and positions (PBE+U).

The 10 most intense peaks (10 to 90 degrees two-theta), low angle first:
(hkl), 2θ (°), Rel. int.
1 0 0, 20.1, 61.3
0 0 2, 23.3, 100.0
0 2 0, 33.1, 54.8
2 0 -2, 33.2, 53.6
1 2 -2, 39.0, 16.3
1 0 2, 39.1, 21.4
2 2 -2, 47.5, 25.9
1 1 3, 53.6, 19.3
1 3 1, 59.1, 14.5
3 1 -1, 59.2, 19.7

Cell and atoms:
a b c (Å): 5.4049 5.4240 9.3384
angles (deg): 90.00 125.21 90.00
Space group P2_1/c (No. 14)
Asymmetric unit:
Na1 0.2473 0.0204 0.2501
Cr1 0.5000 0.0000 0.0000
W1 0.0000 0.0000 0.5000
O1 0.1814 0.2188 0.9691
O2 0.2584 0.7179 0.9711
O3 0.3101 0.0095 0.7518



Entry 8:
This entry pairs a crystal structure of NaY2CrO5 with its simulated powder X-ray diffraction pattern. Radiation: λ = 1.5418 Å (Cu Kα). Structure: DFT lattice parameters and positions (PBE+U).

The 10 most intense peaks (10 to 90 degrees two-theta), low angle first:
(hkl), 2θ (°), Rel. int.
0 0 1, 15.5, 67.1
1 1 0, 19.3, 34.4
0 0 2, 31.4, 36.9
2 0 1, 31.6, 100.0
2 1 1, 34.6, 86.6
2 2 0, 39.1, 25.1
2 1 2, 44.4, 76.5
3 1 1, 46.9, 30.7
2 2 2, 50.9, 21.0
4 1 1, 60.8, 24.3

Cell and atoms:
a b c (Å): 6.5165 6.5165 5.7067
angles (deg): 90.00 90.00 90.00
Space group P4/mbm (No. 127)
Asymmetric unit:
Na1 0.0000 0.0000 0.0000
Y1 0.1783 0.3217 0.5000
Cr1 0.0000 0.5000 0.0000
O1 0.0000 0.0000 0.5000
O2 0.1382 0.6382 0.2456



Entry 9:
This entry pairs a crystal structure of Na2Y2CrO6 with its simulated powder X-ray diffraction pattern. Radiation: λ = 1.5418 Å (Cu Kα). Structure: DFT lattice parameters and positions (PBE+U).

The 10 most intense peaks (10 to 90 degrees two-theta), low angle first:
(hkl), 2θ (°), Rel. int.
0 0 1, 15.6, 100.0
0 0 2, 31.6, 14.9
1 3 0, 31.9, 19.0
2 0 0, 32.4, 12.6
1 3 -1, 33.7, 19.4
1 3 1, 37.6, 53.2
2 0 -2, 39.1, 25.7
1 3 2, 48.6, 13.1
1 3 -3, 54.9, 16.4
3 3 -1, 55.9, 15.0

Cell and atoms:
a b c (Å): 5.7278 9.7771 5.8709
angles (deg): 90.00 105.11 90.00
Space group C2/m (No. 12)
Asymmetric unit:
Na1 0.0000 0.1442 0.0000
Y1 0.0000 0.3364 0.5000
Cr1 0.0000 0.0000 0.5000
O1 0.1937 0.1494 0.6883
O2 0.2428 0.0000 0.3042